TiCu2NiO4: computed X-ray powder pattern (copper Kα), based on a DFT-relaxed cell (GGA+U, Alexandria).
Kinematic intensities with the Lorentz-polarization factor, no thermal factor.

Cell and atoms:
Lattice parameters (Å, degrees): 5.316 2.950 5.636 90.00 109.72 90.00
Space group P2/m (No. 10)
Inequivalent atoms, fractional coordinates:
Ti1 0.000 0.000 0.000 x1
Cu1 0.000 0.000 0.500 x1
Cu2 0.500 0.500 0.500 x1
Ni1 0.500 0.500 0.000 x1
O1 0.088 0.500 0.796 x2
O2 0.384 0.000 0.209 x2

Most intense lines, 10° ≤ 2θ ≤ 90°, sorted by position:
2theta, Rel. int.
33.79, 44
35.31, 81
35.89, 72
40.35, 30
44.97, 100
54.08, 42
58.64, 15
63.01, 16
63.34, 23
64.13, 23